Structure and computed powder X-ray diffraction pattern of CsNaTbI5 (a cell relaxed with GGA-PBE; copper Kα).

Most intense lines, 2θ from 5° to 70°, in order of rising 2θ:
2θ 11.04, intensity 98
2θ 16.61, intensity 100
2θ 18.56, intensity 49
2θ 23.11, intensity 88
2θ 23.45, intensity 75
2θ 25.57, intensity 72
2θ 26.96, intensity 66
2θ 28.66, intensity 58
2θ 31.01, intensity 45
2θ 33.54, intensity 65
2θ 34.31, intensity 45
2θ 40.35, intensity 52

Structural model:
Cell: 10.206 14.684 11.789 Å, 90.00 110.49 90.00°
Space group C2/c (No. 15)
Unique sites:
1 Cs 0.000 0.162 0.250
2 Na 0.000 0.187 0.750
3 Tb 0.000 0.500 0.000
4 I 0.000 0.437 0.250
5 I 0.095 0.307 0.581
6 I 0.196 0.055 0.939

***

Structure and computed powder X-ray diffraction pattern of CsNaV2I8 (a cell relaxed with GGA-PBE; copper Kα).

Most intense lines, 2θ from 5° to 70°, in order of rising 2θ:
2θ 24.22, intensity 33
2θ 24.71, intensity 100
2θ 28.47, intensity 62
2θ 40.38, intensity 32
2θ 41.01, intensity 32
2θ 47.64, intensity 15
2θ 48.19, intensity 29
2θ 48.47, intensity 15
2θ 50.68, intensity 12
2θ 58.91, intensity 10
2θ 65.32, intensity 12
2θ 67.15, intensity 10

Structural model:
Cell: 7.6239 7.6239 33.0789 Å, 90.00 90.00 120.00°
Space group R-3 (No. 148, hexagonal axes)
Unique sites:
1 Cs 0.0000 0.0000 0.0000
2 Na 0.0000 0.0000 0.5000
3 V 0.0000 0.0000 0.2505
4 I 0.0000 0.0000 0.3286
5 I 0.0022 0.6534 0.4401

***

Structure and computed powder X-ray diffraction pattern of CsNb4I7 (a cell relaxed with GGA-PBE; copper Kα).

Most intense lines, 2θ from 5° to 70°, in order of rising 2θ:
2θ 6.78, intensity 90
2θ 11.57, intensity 77
2θ 23.52, intensity 29
2θ 25.42, intensity 100
2θ 25.89, intensity 78
2θ 27.35, intensity 52
2θ 30.13, intensity 20
2θ 35.94, intensity 27
2θ 36.21, intensity 21
2θ 36.98, intensity 40
2θ 46.61, intensity 22
2θ 47.18, intensity 20

Structural model:
Cell: 4.863 26.087 7.649 Å, 90.00 91.59 90.00°
Space group Pm (No. 6)
Unique sites:
1 Cs 0.000 0.000 0.000
2 Cs 0.429 0.500 0.570
3 Nb 0.450 0.270 0.858
4 Nb 0.516 0.171 0.798
5 Nb 0.913 0.329 0.773
6 Nb 0.978 0.230 0.715
7 I 0.432 0.379 0.929
8 I 0.473 0.242 0.495
9 I 0.481 0.000 0.616
10 I 0.509 0.122 0.114
11 I 0.920 0.378 0.457
12 I 0.946 0.500 0.953
13 I 0.956 0.259 0.077
14 I 0.996 0.121 0.642